Li2VPO4: calculated XRD peak list (λ = 1.5418 Å (Cu Kα)), based on DFT lattice parameters and positions (GGA+U).
Peak positions follow from Bragg's law for the DFT cell and can differ from measured ones.

Top 8 peaks for 10 to 90 degrees two-theta, sorted by position:
- d 3.916, 2θ = 22.71°, I 656, hkl 0 2 0
- d 3.852, 2θ = 23.09°, I 281, hkl 1 1 1
- d 3.215, 2θ = 27.75°, I 483, hkl 2 0 0
- d 3.049, 2θ = 29.29°, I 436, hkl 0 0 2
- d 2.212, 2θ = 40.79°, I 1000, hkl 2 0 2
- d 1.958, 2θ = 46.37°, I 478, hkl 0 4 0
- d 1.926, 2θ = 47.19°, I 227, hkl 2 2 2
- d 1.466, 2θ = 63.44°, I 438, hkl 2 4 2

Atomic structure:
a b c (Å): 6.430 7.833 6.097
angles (deg): 90.00 90.00 90.00
Space group Fmm2 (No. 42)
Asymmetric unit:
Li1 0.250 0.250 0.000 (multiplicity 8)
V1 0.000 0.000 0.255 (multiplicity 4)
P1 0.000 0.000 0.728 (multiplicity 4)
O1 0.000 0.247 0.232 (multiplicity 8)
O2 0.193 0.000 0.548 (multiplicity 8)